No. 1
Starting from a structure optimized by DFT (GGA-PBE), the powder diffractogram of Ce2Tl4In was calculated for Cu Kα X-rays.
Peak positions follow from Bragg's law for the DFT cell and can differ from measured ones.

Largest 6 diffraction maxima, by intensity, 2θ = 15–90°:
index  Position (°2θ)  I/Imax
0 0 4  33.71  100
0 2 2  32.33  99
4 2 0  40.47  34
4 2 4  53.65  30
4 2 2  44.05  30
0 4 4  67.68  27

Atomic structure:
abc: 12.2764 6.4854 10.6385
angles: 90.00 90.00 90.00
Space group Cmce (No. 64)
Inequivalent atoms, fractional coordinates:
Ce  0.1125  0.0000  0.0000 x8
Tl  0.0000  0.2502  0.2500 x8
Tl  0.2500  0.2488  0.2500 x8
In  0.0000  0.0000  0.5000 x4

---

No. 2
Starting from a structure optimized by DFT (GGA-PBE), the powder diffractogram of Cs3H3Au2 was calculated for Cu Kα X-rays.
Peak positions follow from Bragg's law for the DFT cell and can differ from measured ones.

Largest 6 diffraction maxima, by intensity, 2θ = 15–90°:
index  Position (°2θ)  I/Imax
0 4 0  26.71  100
0 2 5  27.64  62
1 1 4  31.43  60
0 0 6  29.06  57
1 3 4  36.88  55
0 4 6  39.87  51

Atomic structure:
abc: 3.7591 13.3490 18.4371
angles: 90.00 90.00 90.00
Space group Cmcm (No. 63)
Inequivalent atoms, fractional coordinates:
Cs  0.0000  0.1317  0.2500 x4
Cs  0.0000  0.3622  0.1120 x8
H  0.0000  0.1243  0.0792 x8
H  0.0000  0.1735  0.7500 x4
Au  0.0000  0.3739  0.5807 x8

---

No. 3
Starting from a structure optimized by DFT (GGA-PBE), the powder diffractogram of Rb3Sm3HoTe8 was calculated for Cu Kα X-rays.
Peak positions follow from Bragg's law for the DFT cell and can differ from measured ones.

Largest 6 diffraction maxima, by intensity, 2θ = 15–90°:
index  Position (°2θ)  I/Imax
0 2 4  26.62  100
2 2 0  40.29  36
2 0 8  35.60  35
4 0 4  48.95  19
0 2 7  33.03  18
2 4 4  65.20  16

Atomic structure:
abc: 8.9531 8.9531 26.5652
angles: 90.00 90.00 120.00
Space group R-3m (No. 166, hexagonal axes)
Inequivalent atoms, fractional coordinates:
Rb  0.0000  0.5000  0.0000 x9
Sm  0.0000  0.5000  0.5000 x9
Ho  0.0000  0.0000  0.5000 x3
Te  0.0000  0.0000  0.2347 x6
Te  0.0044  0.5022  0.2333 x18

---

No. 4
Starting from a structure optimized by DFT (GGA-PBE), the powder diffractogram of K4Ac3PaO8 was calculated for Cu Kα X-rays.
Peak positions follow from Bragg's law for the DFT cell and can differ from measured ones.

Largest 6 diffraction maxima, by intensity, 2θ = 15–90°:
index  Position (°2θ)  I/Imax
0 2 4  32.18  100
2 0 2  28.13  92
0 2 1  27.03  57
0 0 6  26.69  39
2 2 6  54.93  39
2 2 0  47.07  35

Atomic structure:
abc: 7.7232 7.7232 20.0408
angles: 90.00 90.00 120.00
Space group R-3m (No. 166, hexagonal axes)
Inequivalent atoms, fractional coordinates:
K  0.0000  0.0000  0.0000 x3
K  0.0000  0.5000  0.0000 x9
Ac  0.0000  0.5000  0.5000 x9
Pa  0.0000  0.0000  0.5000 x3
O  0.0000  0.0000  0.2235 x6
O  0.0427  0.5213  0.2216 x18